Structure and computed X-ray diffraction stick pattern of Li7Mn5O12 (the GGA+U geometry in the Materials Project; copper Kα).

Crystal structure
Lattice parameters (Å, degrees): 5.069 6.453 7.000 84.08 78.88 82.99
Space group P-1 (No. 2)
Inequivalent atoms, fractional coordinates:
Li1 0.000 0.000 0.000 [1 per cell]
Li2 0.224 0.248 0.221 [2 per cell]
Li3 0.239 0.918 0.571 [2 per cell]
Li4 0.247 0.587 0.918 [2 per cell]
Mn1 0.006 0.328 0.682 [2 per cell]
Mn2 0.499 0.836 0.155 [2 per cell]
Mn3 0.500 0.500 0.500 [1 per cell]
O1 0.136 0.942 0.290 [2 per cell]
O2 0.140 0.608 0.625 [2 per cell]
O3 0.153 0.284 0.953 [2 per cell]
O4 0.360 0.562 0.208 [2 per cell]
O5 0.384 0.212 0.580 [2 per cell]
O6 0.397 0.884 0.900 [2 per cell]

Largest 6 diffraction maxima, sorted by position, 2θ = 5–70°:
| two_theta | d [Å] | I_rel | (hkl) |
| --- | --- | --- | --- |
| 18.2 | 4.871 | 100 | 0 1 1 |
| 33.9 | 2.642 | 15 | 1 -1 2 |
| 36.5 | 2.459 | 12 | 1 2 -1 |
| 40.4 | 2.233 | 34 | 1 0 3 |
| 44.4 | 2.039 | 27 | -2 1 1 |
| 44.6 | 2.033 | 27 | 1 3 0 |